# TmFe5B3
Calculated XRD peak list, Cu Ka. Input: a cell relaxed with PBE.
Kinematic intensities with the Lorentz-polarization factor, no thermal factor.

Largest 10 diffraction maxima, sorted by position, 2θ = 10–90°:
two_theta	Rel. int.	hkl
29.36	53	1 1 1
29.97	83	0 2 3
32.97	46	0 4 1
36.19	100	1 3 0
38.17	96	1 1 3
40.15	52	1 3 2
41.10	29	0 4 3
44.65	75	1 1 4
48.95	30	1 5 0
55.49	39	2 0 0

Atomic structure:
abc: 3.312 11.247 10.552
angles: 90.00 90.00 90.00
Space group Cmcm (No. 63)
Unique sites:
Tm 0.000 0.165 0.250 [4 per cell]
Fe 0.000 0.000 0.000 [4 per cell]
Fe 0.000 0.197 0.561 [8 per cell]
Fe 0.000 0.448 0.145 [8 per cell]
B 0.000 0.132 0.750 [4 per cell]
B 0.000 0.380 0.549 [8 per cell]


# Li2AcZn6
Calculated XRD peak list, Cu Ka. Input: a cell relaxed with PBE.
Kinematic intensities with the Lorentz-polarization factor, no thermal factor.

Largest 10 diffraction maxima, sorted by position, 2θ = 10–90°:
two_theta	Rel. int.	hkl
13.04	93	1 0 0
26.25	32	2 0 0
28.36	44	1 0 1
34.07	100	1 1 1
34.96	23	2 1 0
39.83	70	3 0 0
43.51	23	2 1 1
53.38	33	2 2 1
66.99	29	3 0 2
68.63	25	4 1 1

Atomic structure:
abc: 7.8408 7.8408 3.5510
angles: 90.00 90.00 120.00
Space group P6/mmm (No. 191)
Unique sites:
Li 0.3333 0.6667 0.0000 [2 per cell]
Ac 0.0000 0.0000 0.0000 [1 per cell]
Zn 0.0000 0.3453 0.5000 [6 per cell]